# 1
The following is a calculated PXRD pattern of Rb3TlTe2. It was derived from a GGA-PBE-relaxed structure, using Cu Ka.
Neutral-atom scattering factors, no anomalous dispersion.

Structure:
a = 7.7779 Å, b = 18.4731 Å, c = 7.6548 Å
α = 90.00°, β = 90.00°, γ = 90.00°
Space group Ibam (No. 72)
One atom of each set of equivalent atoms:
Rb 0.0000 0.0000 0.2500
Rb 0.2290 0.3206 0.0000
Tl 0.0000 0.5000 0.2500
Te 0.2383 0.3778 0.5000

Most intense lines, 10 to 80 degrees two-theta, by intensity:
Position (°2θ)	I (rel.)
32.83	100
25.21	89
30.04	82
30.33	82
24.84	62
33.42	41

---

# 2
The following is a calculated PXRD pattern of TaMo7. It was derived from a GGA-PBE-relaxed structure, using Cu Ka.
Neutral-atom scattering factors, no anomalous dispersion.

Structure:
a = 3.1794 Å, b = 4.4871 Å, c = 18.0658 Å
α = 90.00°, β = 90.00°, γ = 90.00°
Space group Immm (No. 71)
One atom of each set of equivalent atoms:
Ta 0.0000 0.0000 0.0000
Mo 0.0000 0.0000 0.2492
Mo 0.0000 0.0000 0.5000
Mo 0.0000 0.5000 0.1250
Mo 0.0000 0.5000 0.3722

Most intense lines, 10 to 80 degrees two-theta, by intensity:
Position (°2θ)	I (rel.)
40.08	100
39.92	25
72.96	25
40.19	25
57.97	25
72.61	17

---

# 3
The following is a calculated PXRD pattern of LiTm2F7. It was derived from a GGA-PBE-relaxed structure, using Cu Ka.
Neutral-atom scattering factors, no anomalous dispersion.

Structure:
a = 3.8779 Å, b = 3.8779 Å, c = 30.5340 Å
α = 90.00°, β = 90.00°, γ = 120.00°
Space group R-3m (No. 166, hexagonal axes)
One atom of each set of equivalent atoms:
Li 0.0000 0.0000 0.0000
Tm 0.0000 0.0000 0.4290
F 0.0000 0.0000 0.0776
F 0.0000 0.0000 0.2222
F 0.0000 0.0000 0.3604
F 0.0000 0.0000 0.5000

Most intense lines, 10 to 80 degrees two-theta, by intensity:
Position (°2θ)	I (rel.)
17.43	100
26.70	100
46.86	53
27.19	48
49.85	41
35.61	39

---

# 4
The following is a calculated PXRD pattern of PrSi6Ni12. It was derived from a GGA-PBE-relaxed structure, using Cu Ka.
Neutral-atom scattering factors, no anomalous dispersion.

Structure:
a = 10.4117 Å, b = 10.4117 Å, c = 7.8397 Å
α = 90.00°, β = 90.00°, γ = 120.00°
Space group R-3m (No. 166, hexagonal axes)
One atom of each set of equivalent atoms:
Pr 0.0000 0.0000 0.0000
Si 0.0374 0.5187 0.2684
Ni 0.0000 0.3767 0.5000
Ni 0.0891 0.1782 0.3446

Most intense lines, 10 to 80 degrees two-theta, by intensity:
Position (°2θ)	I (rel.)
37.76	100
38.55	51
56.14	29
70.98	26
42.90	24
46.02	21

---

# 5
The following is a calculated PXRD pattern of TbPmAl3. It was derived from a GGA-PBE-relaxed structure, using Cu Ka.
Neutral-atom scattering factors, no anomalous dispersion.

Structure:
a = 3.6751 Å, b = 27.7853 Å, c = 4.5608 Å
α = 90.00°, β = 90.00°, γ = 90.00°
Space group Cmcm (No. 63)
One atom of each set of equivalent atoms:
Tb 0.0000 0.2108 0.2500
Pm 0.0000 0.0722 0.7500
Al 0.0000 0.3281 0.2500
Al 0.0000 0.3803 0.7500
Al 0.0000 0.4760 0.7500

Most intense lines, 10 to 80 degrees two-theta, by intensity:
Position (°2θ)	I (rel.)
32.75	100
23.33	70
33.22	63
37.92	40
52.56	34
39.52	25

---

# 6
The following is a calculated PXRD pattern of Na4Bi2B4SO16. It was derived from a GGA-PBE-relaxed structure, using Cu Ka.
Neutral-atom scattering factors, no anomalous dispersion.

Structure:
a = 14.1958 Å, b = 14.3377 Å, c = 14.8787 Å
α = 90.00°, β = 90.00°, γ = 90.00°
Space group Fddd (No. 70, origin choice 2)
One atom of each set of equivalent atoms:
Na 0.0789 0.3750 0.3750
Na 0.1250 0.3285 0.1250
Bi 0.0000 0.0000 0.5000
B 0.0318 0.0334 0.7112
S 0.1250 0.1250 0.1250
O 0.0195 0.1025 0.7754
O 0.0298 0.2779 0.8897
O 0.0634 0.0638 0.0684
O 0.1026 0.2825 0.5270

Most intense lines, 10 to 80 degrees two-theta, by intensity:
Position (°2θ)	I (rel.)
10.60	100
21.28	76
19.95	51
20.65	37
20.50	36
40.53	21

---

# 7
The following is a calculated PXRD pattern of Ac2Mg16Sc. It was derived from a GGA-PBE-relaxed structure, using Cu Ka.
Neutral-atom scattering factors, no anomalous dispersion.

Structure:
a = 10.4871 Å, b = 10.4871 Å, c = 15.4047 Å
α = 90.00°, β = 90.00°, γ = 120.00°
Space group R3m (No. 160, hexagonal axes)
One atom of each set of equivalent atoms:
Ac 0.0000 0.0000 0.0000
Ac 0.0000 0.0000 0.3293
Mg 0.0000 0.0000 0.5631
Mg 0.9996 0.2923 0.6685
Mg 0.0001 0.5000 0.5178
Mg 0.0073 0.5036 0.8195
Mg 0.1671 0.3342 0.5013
Sc 0.0000 0.0000 0.7628

Most intense lines, 10 to 80 degrees two-theta, by intensity:
Position (°2θ)	I (rel.)
24.26	100
34.39	90
16.91	83
34.20	55
29.51	54
34.98	41

---

# 8
The following is a calculated PXRD pattern of Li3AlSe3. It was derived from a GGA-PBE-relaxed structure, using Cu Ka.
Neutral-atom scattering factors, no anomalous dispersion.

Structure:
a = 7.6068 Å, b = 6.8071 Å, c = 11.6346 Å
α = 90.00°, β = 94.05°, γ = 90.00°
Space group P2_1/c (No. 14)
One atom of each set of equivalent atoms:
Li 0.0773 0.2203 0.1081
Li 0.1498 0.7147 0.6632
Li 0.3626 0.1892 0.8414
Al 0.3264 0.6132 0.9435
Se 0.1077 0.0469 0.3206
Se 0.2342 0.5642 0.4739
Se 0.3928 0.0340 0.6349

Most intense lines, 10 to 80 degrees two-theta, by intensity:
Position (°2θ)	I (rel.)
26.50	100
28.46	90
27.16	59
26.18	49
38.08	41
46.37	36

---

# 9
The following is a calculated PXRD pattern of Y2HoSc12. It was derived from a GGA-PBE-relaxed structure, using Cu Ka.
Neutral-atom scattering factors, no anomalous dispersion.

Structure:
a = 6.6021 Å, b = 10.5280 Å, c = 22.8945 Å
α = 90.00°, β = 90.00°, γ = 90.00°
Space group Cmme (No. 67)
One atom of each set of equivalent atoms:
Y 0.0000 0.2500 0.2270
Y 0.0000 0.2500 0.7717
Ho 0.0000 0.2500 0.4996
Sc 0.0000 0.0006 0.5828
Sc 0.0000 0.0040 0.0601
Sc 0.2466 0.2500 0.9187
Sc 0.2500 0.0000 0.1684
Sc 0.2500 0.0000 0.2982
Sc 0.2498 0.2500 0.3682

Most intense lines, 10 to 80 degrees two-theta, by intensity:
Position (°2θ)	I (rel.)
34.10	100
35.73	97
32.22	69
31.28	33
32.97	27
39.97	26

---

# 10
The following is a calculated PXRD pattern of Tb2SmDy4Er. It was derived from a GGA-PBE-relaxed structure, using Cu Ka.
Neutral-atom scattering factors, no anomalous dispersion.

Structure:
a = 5.0179 Å, b = 5.0179 Å, c = 10.0528 Å
α = 90.00°, β = 90.00°, γ = 90.00°
Space group P4/mmm (No. 123)
One atom of each set of equivalent atoms:
Tb 0.0000 0.0000 0.0000
Tb 0.5000 0.5000 0.5000
Sm 0.0000 0.0000 0.5000
Dy 0.0000 0.5000 0.2481
Er 0.5000 0.5000 0.0000

Most intense lines, 10 to 80 degrees two-theta, by intensity:
Position (°2θ)	I (rel.)
30.85	100
35.77	51
61.23	43
51.48	36
64.27	12
75.84	4

---

Copy entry 2 word for word.
The following is a calculated PXRD pattern of TaMo7. It was derived from a GGA-PBE-relaxed structure, using Cu Ka.
Neutral-atom scattering factors, no anomalous dispersion.

Structure:
a = 3.1794 Å, b = 4.4871 Å, c = 18.0658 Å
α = 90.00°, β = 90.00°, γ = 90.00°
Space group Immm (No. 71)
One atom of each set of equivalent atoms:
Ta 0.0000 0.0000 0.0000
Mo 0.0000 0.0000 0.2492
Mo 0.0000 0.0000 0.5000
Mo 0.0000 0.5000 0.1250
Mo 0.0000 0.5000 0.3722

Most intense lines, 10 to 80 degrees two-theta, by intensity:
Position (°2θ)	I (rel.)
40.08	100
39.92	25
72.96	25
40.19	25
57.97	25
72.61	17

---

- Which formula does entry 1 have?
  Rb3TlTe2